[1]
Computed X-ray powder pattern of KPAuSe3 for Cu Kα (weighted mean of Kα1 and Kα2), from a cell relaxed with PBE.
Intensities are scaled so that the largest is 100.

Principal peaks in the range 10 to 90 degrees two-theta, most intense first:
Position (°2θ)  I/Imax
28.8  100.0
28.6  59.0
15.7  43.2
11.8  24.7
32.6  24.5
15.2  23.6
43.7  20.5
51.1  18.9
33.7  15.9
54.1  15.2
37.8  15.2
52.2  13.7

Crystal structure
```
12
Lattice="6.221 -3.702 0.000 6.221 3.702 0.000 -3.426 0.000 7.495" Properties=species:S:1:pos:R:3 pbc="T T T"
K 1.671 0.000 1.837
K 7.346 0.000 5.658
P 3.007 0.000 6.371
P 6.010 0.000 1.124
Au 4.508 1.902 3.748
Au 4.508 -1.902 3.748
Se 4.721 1.854 1.313
Se 1.154 0.000 5.262
Se 4.296 1.854 6.182
Se 4.721 -1.854 1.313
Se 7.863 0.000 2.233
Se 4.296 -1.854 6.182
```


[2]
Computed X-ray powder pattern of Pr2Al2Co15 for Cu Kα (weighted mean of Kα1 and Kα2), from a cell relaxed with PBE.
Intensities are scaled so that the largest is 100.

Principal peaks in the range 10 to 90 degrees two-theta, most intense first:
Position (°2θ)  I/Imax
43.2  100.0
43.0  59.1
30.3  37.4
38.2  36.3
43.9  36.2
37.0  28.6
48.6  26.9
78.8  21.6
33.4  19.8
62.6  18.8
44.0  18.6
63.1  17.9

Crystal structure
```
19
Lattice="4.204 2.427 4.129 -4.204 2.427 4.129 0.000 -4.854 4.129" Properties=species:S:1:pos:R:3 pbc="T T T"
Pr 0.000 0.000 1.833
Pr 0.000 0.000 10.555
Al 0.000 0.000 4.895
Al 0.000 0.000 7.493
Co -2.102 -1.214 4.129
Co 0.000 -2.394 3.940
Co -2.073 1.197 3.940
Co -1.191 -2.063 6.194
Co -2.382 0.000 6.194
Co -2.073 -1.197 8.447
Co -2.102 1.214 8.259
Co 1.191 -2.063 6.194
Co 0.000 2.427 4.129
Co -1.191 2.063 6.194
Co 2.073 1.197 3.940
Co 2.382 0.000 6.194
Co 1.191 2.063 6.194
Co 2.073 -1.197 8.447
Co 0.000 2.394 8.447
```


[3]
Computed X-ray powder pattern of NaLaSe2O10 for Cu Kα (weighted mean of Kα1 and Kα2), from a cell relaxed with PBE.
Intensities are scaled so that the largest is 100.

Principal peaks in the range 10 to 90 degrees two-theta, most intense first:
Position (°2θ)  I/Imax
26.3  100.0
15.8  52.6
31.7  42.4
30.3  36.6
24.5  35.9
14.7  34.7
16.7  34.4
34.2  29.7
15.4  24.7
27.5  18.1
20.6  17.8
25.9  16.8

Crystal structure
```
56
Lattice="11.481 0.000 0.000 0.000 7.279 0.000 -4.082 0.000 10.600" Properties=species:S:1:pos:R:3 pbc="T T T"
Na -0.435 1.046 4.873
Na -2.476 2.593 10.174
Na 9.875 4.686 0.427
Na 7.834 6.232 5.727
La 0.175 4.485 7.077
La 2.216 6.432 1.777
La 5.182 0.846 8.824
La 7.223 2.793 3.524
Se -0.856 4.740 3.840
Se -2.897 6.178 9.140
Se 1.569 0.920 7.640
Se 3.610 2.720 2.340
Se 3.789 4.559 8.261
Se 5.830 6.359 2.960
Se 10.295 1.101 1.460
Se 8.254 2.538 6.761
O -3.116 4.963 10.282
O -1.075 5.955 4.982
O 0.257 0.774 2.256
O -1.784 2.865 7.556
O 0.267 5.111 2.675
O -1.774 5.807 7.975
O -2.407 0.204 10.075
O -0.366 3.436 4.775
O 1.774 0.267 4.061
O -0.267 3.372 9.362
O 3.006 1.480 1.400
O 0.965 2.159 6.700
O 2.910 4.099 1.694
O 0.869 6.819 6.994
O 2.257 4.971 5.450
O 4.298 5.946 0.149
O 1.152 1.152 9.275
O 3.193 2.487 3.975
O 2.142 4.442 8.435
O 4.183 6.475 3.135
O 3.215 0.803 7.466
O 5.256 2.836 2.165
O 4.206 4.792 6.626
O 6.247 6.126 1.326
O 3.100 1.332 10.451
O 5.141 2.307 5.151
O 6.530 0.460 3.606
O 4.489 3.179 8.907
O 6.434 5.120 3.901
O 4.393 5.798 9.201
O 7.665 3.906 1.239
O 5.624 7.011 6.539
O 7.765 3.843 5.826
O 9.806 7.075 0.526
O 9.173 1.472 2.625
O 7.132 2.168 7.925
O 9.183 4.413 3.044
O 7.142 6.505 8.345
O 8.474 1.324 5.619
O 10.515 2.315 0.319
```


[4]
Computed X-ray powder pattern of MnGa2Se4 for Cu Kα (weighted mean of Kα1 and Kα2), from a cell relaxed with PBE.
Intensities are scaled so that the largest is 100.

Principal peaks in the range 10 to 90 degrees two-theta, most intense first:
Position (°2θ)  I/Imax
27.4  100.0
45.9  44.2
53.4  29.2
44.8  24.0
83.4  14.2
55.1  13.6
73.7  11.5
17.5  8.5
65.3  7.4
89.2  6.5
85.6  6.4
36.1  6.0

Crystal structure
```
7
Lattice="-2.858 2.858 5.486 2.858 -2.858 5.486 2.858 2.858 -5.486" Properties=species:S:1:pos:R:3 pbc="T T T"
Mn 0.000 0.000 0.000
Ga 2.858 0.000 2.743
Ga 0.000 0.000 5.486
Se 1.523 1.412 -1.470
Se 1.446 -1.335 6.955
Se 1.335 1.446 4.016
Se 1.412 4.193 1.470
```


[5]
Computed X-ray powder pattern of Sr9U9O34 for Cu Kα (weighted mean of Kα1 and Kα2), from a cell relaxed with PBE.
Intensities are scaled so that the largest is 100.

Principal peaks in the range 10 to 90 degrees two-theta, most intense first:
Position (°2θ)  I/Imax
27.4  100.0
14.3  51.9
27.2  51.0
32.1  45.6
28.8  45.2
47.0  28.1
26.1  24.2
32.0  23.1
54.3  22.2
56.0  21.6
45.0  17.8
45.0  17.5

Crystal structure
```
52
Lattice="7.768 0.000 0.000 1.468 8.613 0.000 0.010 2.782 11.679" Properties=species:S:1:pos:R:3 pbc="T T T"
Sr 0.000 0.000 0.000
Sr 0.016 1.917 7.899
Sr 3.581 7.320 6.507
Sr 3.598 8.292 10.437
Sr 3.611 6.479 2.659
Sr 5.690 3.238 1.369
Sr 5.699 4.127 5.214
Sr 5.724 5.177 9.112
Sr 7.776 1.014 3.923
U 1.707 5.178 9.105
U 1.838 4.150 5.347
U 1.843 3.179 1.263
U 5.368 8.641 0.150
U 5.386 10.444 7.739
U 3.941 0.959 3.961
U 7.389 6.487 2.638
U 7.470 7.407 6.549
U 7.537 8.281 10.382
O 1.302 8.540 6.300
O 1.299 7.539 2.352
O 1.385 9.404 10.123
O 1.398 5.762 6.891
O 1.403 6.697 10.839
O 1.929 3.098 3.437
O 2.435 3.488 7.875
O 2.438 4.224 10.959
O 3.718 8.548 4.206
O 3.758 7.478 0.399
O 3.788 9.282 8.051
O 3.384 4.446 1.112
O 3.390 5.342 4.902
O 3.410 6.224 8.861
O 3.475 1.697 1.749
O 3.495 2.579 5.570
O 5.508 10.363 9.930
O 5.693 7.976 2.326
O 5.711 8.838 6.136
O 5.800 5.293 2.922
O 5.901 7.215 10.768
O 5.932 6.149 6.706
O 5.438 3.118 7.576
O 5.462 4.007 11.416
O 5.548 2.126 3.659
O 7.112 9.045 8.262
O 7.092 7.011 0.341
O 7.210 7.976 4.351
O 7.731 6.701 8.763
O 8.125 4.782 1.457
O 8.128 5.466 4.430
O 7.885 3.984 9.397
O 8.029 2.961 5.694
O 8.029 1.967 1.478
```


[6]
Computed X-ray powder pattern of SrAl2B2O7 for Cu Kα (weighted mean of Kα1 and Kα2), from a cell relaxed with PBE.
Intensities are scaled so that the largest is 100.

Principal peaks in the range 10 to 90 degrees two-theta, most intense first:
Position (°2θ)  I/Imax
10.9  100.0
25.4  73.3
22.0  65.3
33.2  58.4
42.8  49.5
36.3  46.4
27.8  32.7
50.0  28.7
57.3  26.0
59.0  20.6
65.2  19.8
44.8  17.2

Crystal structure
```
24
Lattice="2.477 1.430 16.178 -2.477 1.430 16.178 0.000 -2.861 16.178" Properties=species:S:1:pos:R:3 pbc="T T T"
Sr 0.000 0.000 0.000
Sr 0.000 0.000 24.267
Al 0.000 0.000 10.443
Al 0.000 0.000 13.825
Al 0.000 0.000 34.710
Al 0.000 0.000 38.092
B 0.000 0.000 6.434
B 0.000 0.000 17.833
B 0.000 0.000 30.702
B 0.000 0.000 42.100
O -0.900 -1.047 17.773
O -0.900 -1.814 22.673
O -2.021 -0.127 25.862
O 0.000 0.000 12.134
O -1.357 0.256 30.762
O -0.457 1.303 17.773
O -1.121 1.686 22.673
O 1.121 -1.686 25.862
O 0.457 -1.303 30.762
O 1.357 -0.256 17.773
O 0.000 0.000 36.401
O 2.021 0.127 22.673
O 0.900 1.814 25.862
O 0.900 1.047 30.762
```


Question: Number 1 is which compound?
Answer: KPAuSe3